This entry pairs a crystal structure of Cr2B3Os with its calculated PXRD pattern. Radiation: copper Kα. Structure: a DFT-relaxed cell (PBE, Alexandria).
Peak positions follow from Bragg's law for the DFT cell and can differ from measured ones.

Crystal structure
```
Cr2B3Os
1.0
4.2498 0.0000 0.0000
0.0000 2.9233 0.0000
-0.1032 0.0000 17.3501
Cr B Os
8 12 4
Direct
0.0000 0.0000 0.0000 Cr
0.0023 0.0000 0.6719 Cr
0.2588 0.0000 0.5010 Cr
0.2620 0.0000 0.1558 Cr
0.2686 0.0000 0.8267 Cr
0.4883 0.5000 0.0417 Cr
0.4934 0.5000 0.7118 Cr
0.9834 0.0000 0.3298 Cr
0.2492 0.5000 0.2566 B
0.2632 0.5000 0.9255 B
0.2643 0.5000 0.5968 B
0.4697 0.0000 0.2780 B
0.4779 0.0000 0.9488 B
0.4785 0.0000 0.6196 B
0.7659 0.0000 0.1087 B
0.7694 0.0000 0.7806 B
0.7702 0.0000 0.4493 B
0.9887 0.5000 0.4275 B
0.9904 0.5000 0.0889 B
0.9944 0.5000 0.7605 B
0.4792 0.5000 0.3781 Os
0.7579 0.5000 0.2056 Os
0.7682 0.5000 0.8787 Os
0.7706 0.5000 0.5512 Os
```

Main lines, in order of rising 2θ (2θ = 5–70°):
two_theta	I_rel
5.09	81
20.90	48
25.94	63
26.09	47
30.93	81
37.34	86
37.73	43
40.52	82
40.63	95
44.05	100
45.38	54
45.57	53

This entry pairs a crystal structure of Cr12BP3 with its calculated PXRD pattern. Radiation: copper Kα. Structure: a DFT-relaxed cell (PBE, Alexandria).
Peak positions follow from Bragg's law for the DFT cell and can differ from measured ones.

Crystal structure
```
Cr12BP3
1.0
4.4519 0.0000 0.0000
2.1553 6.3110 0.0000
2.1924 -0.2103 6.3697
Cr B P
12 1 3
Direct
0.0000 0.0000 0.0000 Cr
0.0004 0.2449 0.2944 Cr
0.0462 0.2333 0.6717 Cr
0.0761 0.6088 0.7478 Cr
0.1601 0.8179 0.3834 Cr
0.3496 0.4602 0.3282 Cr
0.3700 0.2964 0.9662 Cr
0.4193 0.6784 0.9461 Cr
0.5650 0.0195 0.4049 Cr
0.6685 0.9605 0.7234 Cr
0.6914 0.6216 0.5293 Cr
0.8519 0.6543 0.1757 Cr
0.2382 0.8861 0.6757 B
0.4771 0.9606 0.0970 P
0.5481 0.3095 0.6008 P
0.8046 0.3796 0.0114 P
```

Main lines, in order of rising 2θ (2θ = 5–70°):
two_theta	I_rel
41.18	26
41.34	42
41.52	32
41.77	80
42.19	32
42.98	100
43.13	28
43.26	31
45.52	37
45.83	98
46.91	40
49.86	26

This entry pairs a crystal structure of CrB2Pd with its calculated PXRD pattern. Radiation: copper Kα. Structure: a DFT-relaxed cell (PBE, Alexandria).
Peak positions follow from Bragg's law for the DFT cell and can differ from measured ones.

Crystal structure
```
CrB2Pd
1.0
-2.7937 2.7937 2.7311
2.7937 -2.7937 2.7311
2.7937 2.7937 -2.7311
Cr B Pd
2 4 2
Direct
0.0000 0.0000 0.0000 Cr
0.7500 0.2500 0.5000 Cr
0.1114 0.6250 0.9864 B
0.3750 0.3614 0.4864 B
0.6386 0.1250 0.0136 B
0.8750 0.8886 0.5136 B
0.2500 0.7500 0.5000 Pd
0.5000 0.5000 0.0000 Pd
```

Main lines, in order of rising 2θ (2θ = 5–70°):
two_theta	I_rel
22.77	23
32.04	76
39.66	12
40.14	100
45.94	39
51.87	3
52.89	3
62.28	3
62.62	50
63.19	3
66.99	12
68.74	4

This entry pairs a crystal structure of Pr2CrB10 with its calculated PXRD pattern. Radiation: copper Kα. Structure: a DFT-relaxed cell (PBE, Alexandria).
Peak positions follow from Bragg's law for the DFT cell and can differ from measured ones.

Crystal structure
```
Pr2CrB10
1.0
5.7539 0.0000 0.0000
0.0000 11.4574 0.0000
0.0000 0.0000 4.2147
Pr Cr B
4 2 20
Direct
0.2023 0.1368 0.0000 Pr
0.2977 0.6368 0.0000 Pr
0.7023 0.3632 0.0000 Pr
0.7977 0.8632 0.0000 Pr
0.0000 0.5000 0.5000 Cr
0.5000 0.0000 0.5000 Cr
0.0509 0.3097 0.5000 B
0.1226 0.9579 0.5000 B
0.1424 0.8026 0.5000 B
0.2158 0.3833 0.2010 B
0.2158 0.3833 0.7990 B
0.2842 0.8833 0.2010 B
0.2842 0.8833 0.7990 B
0.3576 0.3026 0.5000 B
0.3774 0.4579 0.5000 B
0.4491 0.8097 0.5000 B
0.5509 0.1903 0.5000 B
0.6226 0.5421 0.5000 B
0.6424 0.6974 0.5000 B
0.7158 0.1167 0.2010 B
0.7158 0.1167 0.7990 B
0.7842 0.6167 0.2010 B
0.7842 0.6167 0.7990 B
0.8576 0.1974 0.5000 B
0.8774 0.0421 0.5000 B
0.9491 0.6903 0.5000 B
```

Main lines, in order of rising 2θ (2θ = 5–70°):
two_theta	I_rel
21.08	27
21.89	67
27.36	17
30.57	100
31.09	13
31.23	17
37.86	35
37.98	44
38.70	12
42.92	16
44.64	21
48.68	27

This entry pairs a crystal structure of RbCrBSe4 with its calculated PXRD pattern. Radiation: copper Kα. Structure: a DFT-relaxed cell (PBE, Alexandria).
Peak positions follow from Bragg's law for the DFT cell and can differ from measured ones.

Crystal structure
```
RbCrBSe4
1.0
6.0855 0.0000 0.0000
0.0000 6.6180 0.0000
-0.9964 0.0000 8.6388
Rb Cr B Se
2 2 2 8
Direct
0.2351 0.2500 0.0578 Rb
0.7649 0.7500 0.9422 Rb
0.1821 0.7500 0.4601 Cr
0.8179 0.2500 0.5399 Cr
0.3360 0.2500 0.6478 B
0.6640 0.7500 0.3522 B
0.1196 0.0108 0.6750 Se
0.1196 0.4892 0.6750 Se
0.3693 0.7500 0.2113 Se
0.4371 0.2500 0.4328 Se
0.5629 0.7500 0.5672 Se
0.6307 0.2500 0.7887 Se
0.8804 0.5108 0.3250 Se
0.8804 0.9892 0.3250 Se
```

Main lines, in order of rising 2θ (2θ = 5–70°):
two_theta	I_rel
10.24	94
29.98	46
30.18	68
30.80	59
31.98	100
32.88	37
33.95	29
34.14	34
35.65	47
40.70	37
49.55	30
55.52	56

This entry pairs a crystal structure of CrRe5B2 with its calculated PXRD pattern. Radiation: copper Kα. Structure: a DFT-relaxed cell (PBE, Alexandria).
Peak positions follow from Bragg's law for the DFT cell and can differ from measured ones.

Crystal structure
```
CrRe5B2
1.0
7.2129 0.0000 0.0000
0.0000 1.4525 4.6695
0.0000 -1.4525 4.6695
Cr Re B
1 5 2
Direct
0.0000 0.0000 0.0000 Cr
0.1825 0.7064 0.7064 Re
0.3045 0.4375 0.4375 Re
0.5000 0.1456 0.1456 Re
0.6955 0.4375 0.4375 Re
0.8175 0.7064 0.7064 Re
0.0000 0.3295 0.3295 B
0.5000 0.8294 0.8294 B
```

Main lines, in order of rising 2θ (2θ = 5–70°):
two_theta	I_rel
24.69	20
32.27	22
34.65	50
38.56	53
41.05	95
42.28	100
42.57	59
44.47	39
46.33	24
49.83	28
50.21	29
64.11	20

This entry pairs a crystal structure of CrReB with its calculated PXRD pattern. Radiation: copper Kα. Structure: a DFT-relaxed cell (PBE, Alexandria).
Peak positions follow from Bragg's law for the DFT cell and can differ from measured ones.

Crystal structure
```
CrReB
1.0
3.7450 -2.2450 0.0000
3.7450 2.2450 0.0000
-3.7190 0.0000 3.8281
Cr Re B
2 2 2
Direct
0.1735 0.1735 0.0057 Cr
0.8265 0.8265 0.9943 Cr
0.3391 0.3391 0.6712 Re
0.6609 0.6609 0.3288 Re
0.2322 0.7678 0.5000 B
0.7678 0.2322 0.5000 B
```

Main lines, in order of rising 2θ (2θ = 5–70°):
two_theta	I_rel
23.76	100
25.89	72
33.36	22
33.59	26
40.17	66
42.42	90
42.57	95
43.04	51
43.18	37
47.20	42
48.63	21
55.22	18

This entry pairs a crystal structure of CrRe13B6 with its calculated PXRD pattern. Radiation: copper Kα. Structure: a DFT-relaxed cell (PBE, Alexandria).
Peak positions follow from Bragg's law for the DFT cell and can differ from measured ones.

Crystal structure
```
CrRe13B6
1.0
7.4991 0.0000 0.0000
-3.7495 6.4944 0.0000
0.0000 0.0000 4.9386
Cr Re B
1 13 6
Direct
0.0000 0.0000 0.0000 Cr
0.1201 0.2402 0.5480 Re
0.1201 0.8799 0.5480 Re
0.2097 0.4195 0.0481 Re
0.2097 0.7903 0.0481 Re
0.3333 0.6667 0.5030 Re
0.4196 0.2098 0.8460 Re
0.5441 0.0883 0.3457 Re
0.5441 0.4559 0.3457 Re
0.5805 0.7903 0.0481 Re
0.7598 0.8799 0.5480 Re
0.7902 0.2098 0.8460 Re
0.7902 0.5804 0.8460 Re
0.9117 0.4559 0.3457 Re
0.0476 0.5238 0.7559 B
0.2806 0.1403 0.2477 B
0.4762 0.5238 0.7559 B
0.4762 0.9524 0.7559 B
0.8597 0.1403 0.2477 B
0.8597 0.7194 0.2477 B
```

Main lines, in order of rising 2θ (2θ = 5–70°):
two_theta	I_rel
22.62	11
33.01	27
36.38	6
36.61	31
39.02	45
41.06	100
41.72	14
45.76	38
46.19	31
48.56	10
63.34	9
65.43	6